Starting from DFT lattice parameters and positions (GGA-PBE), the powder XRD pattern of Ba2LaI7 was computed for Cu Kα X-rays.
Peak positions follow from Bragg's law for the DFT cell and can differ from measured ones.

Structure:
Lattice parameters (Å, degrees): 18.5204 9.5507 11.9541 90.00 123.78 90.00
Space group C2/c (No. 15)
Symmetry-distinct sites (fractional):
Ba 0.2061 0.0082 0.3280
La 0.0000 0.4661 0.7500
I 0.0000 0.1084 0.7500
I 0.0877 0.3488 0.0654
I 0.1234 0.2689 0.4381
I 0.1977 0.3683 0.8401

Principal peaks in the range 2θ = 15–90°, in order of falling intensity:
(hkl), Position (°2θ), I/Imax
1 1 -3, 25.9, 100
6 0 -2, 29.0, 64
5 1 -1, 26.8, 53
4 0 2, 36.6, 43
2 2 1, 26.0, 42
3 3 -2, 32.7, 38